Structure and simulated X-ray powder pattern of Nd5Er2Sc4 (a structure optimized by DFT (PBE); copper Kα).
Intensities are scaled so that the largest is 100.

Most intense lines, 2θ = 10–90°, by intensity:
- 2θ 25.54, I = 100, (0 2 4)
- 2θ 33.24, I = 69, (1 2 1)
- 2θ 28.88, I = 67, (1 1 2)
- 2θ 32.70, I = 57, (0 3 3)
- 2θ 37.93, I = 44, (1 0 7)
- 2θ 29.14, I = 43, (0 1 7)
- 2θ 31.27, I = 32, (0 0 8)
- 2θ 31.03, I = 29, (0 2 6)
- 2θ 47.14, I = 28, (1 3 6)
- 2θ 43.48, I = 28, (1 3 4)

Atomic structure:
```
data_Nd5Er2Sc4
_chemical_formula_sum 'Nd10 Er4 Sc8'
_space_group_name_H-M_alt 'I m m m'
_space_group_IT_number 71
_space_group_name_Hall '-I 2 2'
_cell_length_a 3.448
_cell_length_b 8.802
_cell_length_c 22.882
_cell_angle_alpha 90.00
_cell_angle_beta 90.00
_cell_angle_gamma 90.00
loop_
_atom_site_label
_atom_site_type_symbol
_atom_site_fract_x
_atom_site_fract_y
_atom_site_fract_z
_atom_site_occupancy
Nd1 Nd 0.000 0.000 0.000 1
Nd2 Nd 0.000 0.297 0.358 1
Er1 Er 0.000 0.500 0.229 1
Sc1 Sc 0.000 0.175 0.500 1
Sc2 Sc 0.000 0.500 0.093 1
```